(1)
Starting from the GGA-PBE geometry in the Materials Project, the X-ray powder pattern of Mg4Si7 was computed for copper Kα.

Principal peaks in the range 2θ = 10–90°, in order of rising 2θ:
33.20 deg, d 2.698, I 38.0, hkl -1 1 3
33.51 deg, d 2.674, I 37.3, hkl 1 1 4
35.96 deg, d 2.497, I 42.3, hkl 1 2 -1
36.12 deg, d 2.487, I 38.4, hkl 1 -2 2
37.22 deg, d 2.416, I 44.3, hkl -1 2 2
37.41 deg, d 2.404, I 64.8, hkl 1 2 3
40.58 deg, d 2.223, I 40.3, hkl 1 0 -5
40.99 deg, d 2.202, I 36.3, hkl 1 0 6
45.98 deg, d 1.974, I 100.0, hkl 2 0 1
49.63 deg, d 1.837, I 29.9, hkl 0 0 8

Structure:
abc: 3.9490 6.9197 14.8189
angles: 87.33 82.94 90.00
Fractional coordinates of all 22 atoms:
Mg1 0.0000 0.0000 0.0000
Mg2 0.0375 0.5015 0.9227
Mg3 0.2765 0.0961 0.4513
Mg4 0.4615 0.2997 0.0763
Mg5 0.6291 0.5251 0.7487
Mg6 0.6732 0.0429 0.6538
Mg7 0.8878 0.1127 0.2295
Mg8 0.9271 0.6003 0.1527
Si1 0.1056 0.8428 0.7790
Si2 0.1068 0.2050 0.7793
Si3 0.1906 0.7253 0.6238
Si4 0.1924 0.3658 0.6268
Si5 0.3685 0.3890 0.2705
Si6 0.3710 0.7441 0.2811
Si7 0.4302 0.9186 0.1350
Si8 0.4882 0.6829 0.0216
Si9 0.5553 0.2135 0.8880
Si10 0.5608 0.8540 0.8763
Si11 0.7405 0.7238 0.5288
Si12 0.7420 0.3602 0.5265
Si13 0.8262 0.4420 0.3657
Si14 0.8329 0.8191 0.3692

=====

(2)
Starting from the GGA-PBE geometry in the Materials Project, the X-ray powder pattern of Mg2Si3 was computed for copper Kα.

Principal peaks in the range 2θ = 10–90°, in order of rising 2θ:
12.00 deg, d 7.375, I 63.1, hkl 0 0 2
19.25 deg, d 4.611, I 62.3, hkl 1 0 1
26.89 deg, d 3.316, I 46.7, hkl 1 1 -2
34.45 deg, d 2.603, I 35.5, hkl -1 1 4
36.33 deg, d 2.473, I 37.5, hkl 1 1 4
38.03 deg, d 2.366, I 43.1, hkl 2 0 -2
38.61 deg, d 2.332, I 67.0, hkl 1 -1 5
39.49 deg, d 2.282, I 78.0, hkl 1 2 -2
41.32 deg, d 2.185, I 41.9, hkl -2 1 2
46.14 deg, d 1.967, I 100.0, hkl 1 0 -7

Structure:
abc: 4.9326 5.4586 14.7977
angles: 93.91 92.31 92.33
Fractional coordinates of all 20 atoms:
Mg1 0.0000 0.0000 0.0000
Mg2 0.9996 0.2139 0.4204
Mg3 0.1966 0.2776 0.1874
Mg4 0.4039 0.3938 0.7657
Mg5 0.5205 0.5932 0.5150
Mg6 0.5320 0.5852 0.9598
Mg7 0.6158 0.9688 0.6710
Mg8 0.9762 0.6940 0.3118
Si1 0.0298 0.5890 0.8720
Si2 0.0525 0.7907 0.5807
Si3 0.1440 0.8753 0.7558
Si4 0.1688 0.2344 0.5952
Si5 0.4397 0.7261 0.2090
Si6 0.4829 0.9209 0.3711
Si7 0.5049 0.3824 0.3482
Si8 0.5119 0.0279 0.0797
Si9 0.7264 0.4465 0.1172
Si10 0.7306 0.1084 0.2369
Si11 0.8615 0.1725 0.8376
Si12 0.8749 0.4891 0.6880

=====

(3)
Starting from the GGA-PBE geometry in the Materials Project, the X-ray powder pattern of Mg4Si3 was computed for copper Kα.

Principal peaks in the range 2θ = 10–90°, in order of rising 2θ:
17.35 deg, d 5.110, I 41.5, hkl 1 -1 0
30.28 deg, d 2.952, I 59.6, hkl 2 0 0
31.56 deg, d 2.835, I 36.3, hkl -1 1 2
32.16 deg, d 2.784, I 31.3, hkl 0 2 -2
32.76 deg, d 2.733, I 39.2, hkl -1 2 1
37.09 deg, d 2.424, I 100.0, hkl 2 -2 1
38.17 deg, d 2.357, I 39.0, hkl 1 1 -3
40.93 deg, d 2.205, I 43.4, hkl 0 3 -1
44.68 deg, d 2.028, I 36.8, hkl -2 2 2
45.13 deg, d 2.009, I 55.1, hkl 1 0 3

Structure:
abc: 6.2492 6.8036 7.3948
angles: 104.08 99.47 103.62
Fractional coordinates of all 14 atoms:
Mg1 0.0000 0.0000 0.0000
Mg2 0.0233 0.2278 0.4217
Mg3 0.3967 0.7324 0.7304
Mg4 0.4315 0.2288 0.7544
Mg5 0.5309 0.0637 0.1663
Mg6 0.5840 0.7825 0.4003
Mg7 0.8542 0.5480 0.7087
Mg8 0.9201 0.4036 0.0913
Si1 0.0352 0.8027 0.2723
Si2 0.0570 0.9000 0.6160
Si3 0.3715 0.3878 0.1233
Si4 0.4535 0.4097 0.4611
Si5 0.6450 0.6651 0.0378
Si6 0.8216 0.1318 0.6951

=====

(4)
Starting from the GGA-PBE geometry in the Materials Project, the X-ray powder pattern of Mg4Si3 was computed for copper Kα.

Principal peaks in the range 2θ = 10–90°, in order of rising 2θ:
33.17 deg, d 2.700, I 78.7, hkl 2 1 2
33.99 deg, d 2.638, I 43.5, hkl 2 2 2
35.45 deg, d 2.532, I 100.0, hkl -1 2 1
36.20 deg, d 2.481, I 40.3, hkl 2 1 -1
38.32 deg, d 2.349, I 43.0, hkl 0 1 -2
38.81 deg, d 2.321, I 59.4, hkl 1 3 1
39.03 deg, d 2.308, I 75.2, hkl 2 0 2
39.59 deg, d 2.277, I 49.2, hkl -1 2 2
43.92 deg, d 2.062, I 94.7, hkl 3 0 0
44.42 deg, d 2.039, I 47.8, hkl 1 -2 1

Structure:
abc: 6.7062 7.0757 7.1050
angles: 60.82 74.56 68.10
Fractional coordinates of all 14 atoms:
Mg1 0.0000 0.0000 0.0000
Mg2 0.0073 0.5307 0.6800
Mg3 0.3448 0.5349 0.2769
Mg4 0.3542 0.7081 0.7444
Mg5 0.3680 0.1808 0.0627
Mg6 0.6640 0.8571 0.8782
Mg7 0.6779 0.6977 0.3406
Mg8 0.6984 0.0816 0.4020
Si1 0.0213 0.5425 0.0837
Si2 0.0284 0.2241 0.4630
Si3 0.1391 0.8922 0.3821
Si4 0.3142 0.1570 0.6582
Si5 0.6817 0.3110 0.7003
Si6 0.7022 0.4157 0.0038

=====

(5)
Starting from the GGA-PBE geometry in the Materials Project, the X-ray powder pattern of Mg4Si7 was computed for copper Kα.

Principal peaks in the range 2θ = 10–90°, in order of rising 2θ:
13.71 deg, d 6.458, I 31.0, hkl 1 0 -1
34.35 deg, d 2.611, I 80.7, hkl 1 1 -4
35.01 deg, d 2.563, I 25.4, hkl 2 1 0
36.56 deg, d 2.458, I 60.6, hkl 2 1 1
37.35 deg, d 2.407, I 69.3, hkl 2 1 -3
38.17 deg, d 2.358, I 75.8, hkl 1 1 4
38.77 deg, d 2.322, I 70.2, hkl 0 1 5
41.16 deg, d 2.193, I 27.7, hkl 3 0 0
44.30 deg, d 2.045, I 100.0, hkl 0 2 0
44.42 deg, d 2.039, I 24.7, hkl 1 0 -7

Structure:
abc: 6.7047 4.0892 14.3768
angles: 90.00 101.09 90.00
Fractional coordinates of all 22 atoms:
Mg1 0.0000 0.0000 0.0000
Mg2 0.0268 0.5000 0.4072
Mg3 0.0707 0.0000 0.5730
Mg4 0.4029 0.5000 0.7362
Mg5 0.4413 0.0000 0.1649
Mg6 0.4693 0.0000 0.9202
Mg7 0.7189 0.5000 0.0804
Mg8 0.9556 0.0000 0.2394
Si1 0.0889 0.0000 0.7667
Si2 0.1158 0.5000 0.8708
Si3 0.1194 0.5000 0.1430
Si4 0.3218 0.5000 0.0242
Si5 0.3317 0.0000 0.3992
Si6 0.3346 0.5000 0.2965
Si7 0.3753 0.5000 0.5420
Si8 0.5800 0.0000 0.6109
Si9 0.6815 0.5000 0.2709
Si10 0.7114 0.0000 0.4083
Si11 0.7218 0.5000 0.5163
Si12 0.7346 0.0000 0.7797
Si13 0.7580 0.5000 0.8891
Si14 0.8844 0.5000 0.6835

=====

(6)
Starting from the GGA-PBE geometry in the Materials Project, the X-ray powder pattern of Mg3Si4 was computed for copper Kα.

Principal peaks in the range 2θ = 10–90°, in order of rising 2θ:
30.27 deg, d 2.952, I 24.3, hkl 1 -2 0
31.27 deg, d 2.860, I 23.9, hkl -2 1 1
32.61 deg, d 2.746, I 21.8, hkl 1 1 1
36.29 deg, d 2.475, I 87.0, hkl 0 2 1
37.04 deg, d 2.427, I 100.0, hkl 2 1 -2
37.15 deg, d 2.420, I 95.7, hkl 0 1 -3
38.23 deg, d 2.354, I 76.6, hkl 2 -2 0
39.52 deg, d 2.281, I 53.7, hkl 2 0 1
43.76 deg, d 2.069, I 34.7, hkl -2 1 3
46.13 deg, d 1.968, I 47.1, hkl 0 3 -2

Structure:
abc: 6.0471 6.2515 7.7382
angles: 101.72 109.17 100.67
Fractional coordinates of all 14 atoms:
Mg1 0.0000 0.0000 0.0000
Mg2 0.0702 0.4990 0.8666
Mg3 0.2684 0.2641 0.4993
Mg4 0.6395 0.7246 0.5802
Mg5 0.7231 0.1918 0.4508
Mg6 0.8634 0.3876 0.1653
Si1 0.0784 0.6329 0.5516
Si2 0.2456 0.0209 0.7555
Si3 0.2941 0.8078 0.2505
Si4 0.3763 0.4276 0.2008
Si5 0.4903 0.9883 0.0611
Si6 0.5912 0.6301 0.9895
Si7 0.6548 0.1605 0.7741
Si8 0.9190 0.8389 0.3187